The following is a simulated PXRD pattern of Ho3CuSiS7. It was derived from a GGA-PBE-relaxed structure, using λ = 1.5418 Å (Cu Kα).
Kinematic intensities with the Lorentz-polarization factor, no thermal factor.

Cell and atoms:
Cell lengths 9.8494, 9.8494, 5.7039 Å; angles 90.00, 90.00, 120.00 degrees
Space group P6_3 (No. 173)
Asymmetric unit:
Ho (0.1304, 0.3573, 0.0000) x6
Cu (0.0000, 0.0000, 0.4499) x2
Si (0.3333, 0.6667, 0.5887) x2
S (0.0964, 0.2592, 0.4690) x6
S (0.1054, 0.5825, 0.7393) x6
S (0.3333, 0.6667, 0.2180) x2

Top 8 peaks for 10° ≤ 2θ ≤ 90°, sorted by position:
| two_theta | I/Imax | h k l |
| --- | --- | --- |
| 18.71 | 32 | 1 0 1 |
| 23.87 | 34 | 1 1 1 |
| 26.09 | 100 | 2 0 1 |
| 27.67 | 36 | 1 2 0 |
| 36.48 | 52 | 2 2 0 |
| 38.01 | 62 | 1 3 0 |
| 41.32 | 41 | 3 1 1 |
| 42.32 | 48 | 1 2 2 |


The following is a simulated PXRD pattern of Nd2MnFe3Si4. It was derived from a GGA-PBE-relaxed structure, using λ = 1.5418 Å (Cu Kα).
Kinematic intensities with the Lorentz-polarization factor, no thermal factor.

Cell and atoms:
Cell lengths 3.996, 3.996, 10.005 Å; angles 90.00, 90.00, 90.00 degrees
Space group P-4m2 (No. 115)
Asymmetric unit:
Nd (0.000, 0.500, 0.244) x2
Mn (0.000, 0.000, 0.500) x1
Fe (0.000, 0.000, 0.000) x1
Fe (0.500, 0.500, 0.000) x1
Fe (0.500, 0.500, 0.500) x1
Si (0.000, 0.500, 0.625) x2
Si (0.000, 0.500, 0.890) x2

Top 8 peaks for 10° ≤ 2θ ≤ 90°, sorted by position:
| two_theta | I/Imax | h k l |
| --- | --- | --- |
| 23.98 | 50 | 1 0 1 |
| 35.05 | 62 | 1 0 3 |
| 36.52 | 100 | 1 1 2 |
| 45.39 | 41 | 2 0 0 |
| 51.05 | 17 | 1 0 5 |
| 58.60 | 27 | 2 1 3 |
| 64.94 | 20 | 1 1 6 |
| 77.99 | 20 | 3 1 2 |


The following is a simulated PXRD pattern of Sr13Al6Si8O. It was derived from a GGA-PBE-relaxed structure, using λ = 1.5418 Å (Cu Kα).
Kinematic intensities with the Lorentz-polarization factor, no thermal factor.

Cell and atoms:
Cell lengths 22.897, 4.840, 17.561 Å; angles 90.00, 125.24, 90.00 degrees
Space group C2/m (No. 12)
Asymmetric unit:
Sr (0.000, 0.000, 0.000) x2
Sr (0.001, 0.500, 0.621) x4
Sr (0.002, 0.500, 0.859) x4
Sr (0.155, 0.500, 0.117) x4
Sr (0.185, 0.500, 0.391) x4
Sr (0.193, 0.500, 0.891) x4
Sr (0.194, 0.500, 0.647) x4
Al (0.066, 0.000, 0.309) x4
Al (0.069, 0.000, 0.552) x4
Al (0.072, 0.000, 0.795) x4
Si (0.131, 0.000, 0.234) x4
Si (0.133, 0.000, 0.966) x4
Si (0.139, 0.000, 0.484) x4
Si (0.145, 0.000, 0.729) x4
O (0.000, 0.500, 0.000) x2

Top 8 peaks for 10° ≤ 2θ ≤ 90°, sorted by position:
| two_theta | I/Imax | h k l |
| --- | --- | --- |
| 24.81 | 30 | 0 0 4 |
| 28.64 | 21 | 6 0 0 |
| 29.07 | 100 | 1 1 -4 |
| 30.19 | 48 | 5 1 0 |
| 33.57 | 32 | 1 1 4 |
| 37.15 | 31 | 0 2 0 |
| 41.12 | 20 | 6 0 -8 |
| 56.61 | 16 | 6 2 -8 |


The following is a simulated PXRD pattern of La3NdCu2O8. It was derived from a GGA-PBE-relaxed structure, using λ = 1.5418 Å (Cu Kα).
Kinematic intensities with the Lorentz-polarization factor, no thermal factor.

Cell and atoms:
Cell lengths 4.004, 4.004, 12.619 Å; angles 90.00, 90.00, 90.00 degrees
Space group P4mm (No. 99)
Asymmetric unit:
La (0.000, 0.000, 0.000) x1
La (0.000, 0.000, 0.300) x1
La (0.500, 0.500, 0.502) x1
Nd (0.500, 0.500, 0.801) x1
Cu (0.000, 0.000, 0.652) x1
Cu (0.500, 0.500, 0.151) x1
O (0.000, 0.500, 0.150) x2
O (0.000, 0.500, 0.401) x2
O (0.000, 0.500, 0.653) x2
O (0.000, 0.500, 0.899) x2

Top 8 peaks for 10° ≤ 2θ ≤ 90°, sorted by position:
| two_theta | I/Imax | h k l |
| --- | --- | --- |
| 23.31 | 16 | 1 0 1 |
| 30.83 | 100 | 1 0 3 |
| 31.60 | 33 | 1 1 0 |
| 42.95 | 25 | 0 0 6 |
| 45.30 | 26 | 2 0 0 |
| 54.33 | 17 | 1 1 6 |
| 55.80 | 37 | 2 1 3 |
| 82.03 | 9 | 2 2 6 |


The following is a simulated PXRD pattern of ZnHgTe2. It was derived from a GGA-PBE-relaxed structure, using λ = 1.5418 Å (Cu Kα).
Kinematic intensities with the Lorentz-polarization factor, no thermal factor.

Cell and atoms:
Cell lengths 4.541, 4.541, 6.425 Å; angles 90.00, 90.00, 90.00 degrees
Space group P-4m2 (No. 115)
Asymmetric unit:
Zn (0.000, 0.000, 0.000) x1
Hg (0.500, 0.500, 0.500) x1
Te (0.000, 0.500, 0.228) x2

Top 8 peaks for 10° ≤ 2θ ≤ 90°, sorted by position:
| two_theta | I/Imax | h k l |
| --- | --- | --- |
| 24.00 | 100 | 1 0 1 |
| 31.14 | 10 | 1 1 1 |
| 39.69 | 79 | 2 0 0 |
| 46.92 | 49 | 2 1 1 |
| 57.39 | 13 | 2 2 0 |
| 63.10 | 20 | 3 0 1 |
| 72.04 | 26 | 3 1 2 |
| 77.18 | 14 | 3 2 1 |


The following is a simulated PXRD pattern of Rb2ScAuBr6. It was derived from a GGA-PBE-relaxed structure, using λ = 1.5418 Å (Cu Kα).
Kinematic intensities with the Lorentz-polarization factor, no thermal factor.

Cell and atoms:
Cell lengths 11.055, 11.055, 11.055 Å; angles 90.00, 90.00, 90.00 degrees
Space group Fm-3m (No. 225)
Asymmetric unit:
Rb (0.250, 0.250, 0.250) x8
Sc (0.000, 0.000, 0.000) x4
Au (0.000, 0.000, 0.500) x4
Br (0.000, 0.000, 0.242) x24

Top 8 peaks for 10° ≤ 2θ ≤ 90°, sorted by position:
| two_theta | I/Imax | h k l |
| --- | --- | --- |
| 16.03 | 37 | 2 0 0 |
| 22.75 | 38 | 2 2 0 |
| 27.96 | 43 | 2 2 2 |
| 32.39 | 100 | 4 0 0 |
| 46.47 | 71 | 4 4 0 |
| 57.78 | 24 | 4 4 4 |
| 77.17 | 31 | 8 4 0 |
| 86.19 | 24 | 8 4 4 |


The following is a simulated PXRD pattern of Th2CN. It was derived from a GGA-PBE-relaxed structure, using λ = 1.5418 Å (Cu Kα).
Kinematic intensities with the Lorentz-polarization factor, no thermal factor.

Cell and atoms:
Cell lengths 3.7438, 3.7438, 18.2414 Å; angles 90.00, 90.00, 120.00 degrees
Space group R-3m (No. 166, hexagonal axes)
Asymmetric unit:
Th (0.0000, 0.0000, 0.2504) x6
C (0.0000, 0.0000, 0.5000) x3
N (0.0000, 0.0000, 0.0000) x3

Top 8 peaks for 10° ≤ 2θ ≤ 90°, sorted by position:
| two_theta | I/Imax | h k l |
| --- | --- | --- |
| 29.23 | 100 | 0 1 2 |
| 29.38 | 33 | 0 0 6 |
| 33.93 | 86 | 1 0 4 |
| 48.64 | 31 | 1 1 0 |
| 48.83 | 31 | 0 1 8 |
| 57.82 | 48 | 2 0 2 |
| 58.01 | 16 | 1 0 10 |
| 60.62 | 16 | 0 2 4 |